This entry pairs a crystal structure of Ta2Si2SO12 with its theoretical PXRD pattern. Radiation: λ = 1.5418 Å (Cu Kα). Structure: a DFT-relaxed cell (PBE, the Materials Project).
Peak positions follow from Bragg's law for the DFT cell and can differ from measured ones.

Most intense lines, 10° ≤ 2θ ≤ 80°, sorted by position:
2θ/deg, I (rel.)
13.83, 23
19.20, 41
19.41, 76
20.00, 100
27.87, 40
28.15, 21
35.01, 30
54.68, 19

Atomic structure:
```
data_Ta2Si2SO12
_symmetry_space_group_name_H-M 'C 1 c 1'
_symmetry_Int_Tables_number 9
_symmetry_space_group_name_Hall 'C -2yc'
_cell_length_a 15.3842
_cell_length_b 8.8758
_cell_length_c 9.2523
_cell_angle_alpha 90.00
_cell_angle_beta 124.49
_cell_angle_gamma 90.00
loop_
_atom_site_label
_atom_site_fract_x
_atom_site_fract_y
_atom_site_fract_z
_atom_site_occupancy
Ta1 0.0000 0.2338 0.0000 1
Ta2 0.2158 0.2515 0.6478 1
Si1 0.1081 0.0346 0.8256 1
Si2 0.2452 0.3907 0.3245 1
S1 0.4627 0.1053 0.8252 1
O1 0.0301 0.1412 0.8510 1
O2 0.0309 0.0710 0.1526 1
O3 0.0542 0.3228 0.4835 1
O4 0.1380 0.3215 0.1523 1
O5 0.1756 0.0739 0.4952 1
O6 0.1773 0.1427 0.7867 1
O7 0.2418 0.3605 0.4954 1
O8 0.2467 0.4293 0.7887 1
O9 0.3507 0.3091 0.3599 1
O10 0.3672 0.1770 0.8029 1
O11 0.4580 0.0571 0.3532 1
O12 0.4617 0.1287 0.6679 1
```

This entry pairs a crystal structure of CeSiBRh3 with its theoretical PXRD pattern. Radiation: λ = 1.5418 Å (Cu Kα). Structure: a DFT-relaxed cell (PBE, the Materials Project).
Peak positions follow from Bragg's law for the DFT cell and can differ from measured ones.

Most intense lines, 10° ≤ 2θ ≤ 80°, sorted by position:
2θ/deg, I (rel.)
31.97, 85
37.54, 100
41.86, 60
46.13, 22
57.47, 31
64.26, 17
66.84, 36
67.74, 21

Atomic structure:
```
data_CeSiBRh3
_symmetry_space_group_name_H-M 'P -6 m 2'
_symmetry_Int_Tables_number 187
_symmetry_space_group_name_Hall 'P -6 2'
_cell_length_a 5.5334
_cell_length_b 5.5334
_cell_length_c 3.4489
_cell_angle_alpha 90.00
_cell_angle_beta 90.00
_cell_angle_gamma 120.00
loop_
_atom_site_label
_atom_site_fract_x
_atom_site_fract_y
_atom_site_fract_z
_atom_site_occupancy
Ce1 0.0000 0.0000 0.0000 1
Si1 0.6667 0.3333 0.0000 1
B1 0.3333 0.6667 0.0000 1
Rh1 0.0123 0.5062 0.5000 1
```

This entry pairs a crystal structure of CeSe2 with its theoretical PXRD pattern. Radiation: λ = 1.5418 Å (Cu Kα). Structure: a DFT-relaxed cell (PBE, the Materials Project).
Peak positions follow from Bragg's law for the DFT cell and can differ from measured ones.

Most intense lines, 10° ≤ 2θ ≤ 80°, sorted by position:
2θ/deg, I (rel.)
11.08, 91
11.49, 83
13.78, 100
14.66, 98
14.79, 91
15.10, 100
16.77, 73
19.53, 62

Atomic structure:
```
data_CeSe2
_symmetry_space_group_name_H-M 'C m m m'
_symmetry_Int_Tables_number 65
_symmetry_space_group_name_Hall '-C 2 2'
_cell_length_a 24.1718
_cell_length_b 31.9544
_cell_length_c 12.6064
_cell_angle_alpha 90.00
_cell_angle_beta 90.00
_cell_angle_gamma 90.00
loop_
_atom_site_label
_atom_site_fract_x
_atom_site_fract_y
_atom_site_fract_z
_atom_site_occupancy
Ce1 0.0000 0.1487 0.1996 1
Ce2 0.0000 0.2652 0.5000 1
Ce3 0.1973 0.0820 0.2065 1
Ce4 0.2028 0.3269 0.5000 1
Se1 0.0000 0.1811 0.0000 1
Se2 0.0000 0.2187 0.3205 1
Se3 0.0896 0.1008 0.2511 1
Se4 0.0919 0.3139 0.5000 1
Se5 0.2142 0.0000 0.2594 1
Se6 0.2213 0.0994 0.0000 1
Se7 0.2320 0.3700 0.3226 1
Se8 0.2500 0.2500 0.5000 1
```

This entry pairs a crystal structure of Li2MgGeO4 with its theoretical PXRD pattern. Radiation: λ = 1.5418 Å (Cu Kα). Structure: a DFT-relaxed cell (PBE, the Materials Project).
Peak positions follow from Bragg's law for the DFT cell and can differ from measured ones.

Most intense lines, 10° ≤ 2θ ≤ 80°, sorted by position:
2θ/deg, I (rel.)
15.96, 39
21.25, 46
22.37, 48
23.71, 100
28.08, 38
32.47, 47
35.26, 48
37.07, 40

Atomic structure:
```
data_Li2MgGeO4
_symmetry_space_group_name_H-M 'P m n 21'
_symmetry_Int_Tables_number 31
_symmetry_space_group_name_Hall 'P 2ac -2'
_cell_length_a 6.3549
_cell_length_b 5.5518
_cell_length_c 5.0917
_cell_angle_alpha 90.00
_cell_angle_beta 90.00
_cell_angle_gamma 90.00
loop_
_atom_site_label
_atom_site_fract_x
_atom_site_fract_y
_atom_site_fract_z
_atom_site_occupancy
Li1 0.2495 0.1670 0.0000 1
Mg1 0.0000 0.3363 0.4982 1
Ge1 0.0000 0.6742 0.0045 1
O1 0.0000 0.3690 0.8895 1
O2 0.0000 0.6698 0.3548 1
O3 0.2317 0.8238 0.8934 1
```

This entry pairs a crystal structure of YZr9O20 with its theoretical PXRD pattern. Radiation: λ = 1.5418 Å (Cu Kα). Structure: a DFT-relaxed cell (PBE, the Materials Project).
Peak positions follow from Bragg's law for the DFT cell and can differ from measured ones.

Most intense lines, 10° ≤ 2θ ≤ 80°, sorted by position:
2θ/deg, I (rel.)
29.73, 100
34.09, 8
49.38, 29
49.45, 10
49.81, 20
58.35, 14
59.00, 14
59.17, 13

Atomic structure:
```
data_YZr9O20
_symmetry_space_group_name_H-M 'P 1'
_symmetry_Int_Tables_number 1
_symmetry_space_group_name_Hall 'P 1'
_cell_length_a 6.4086
_cell_length_b 7.3871
_cell_length_c 8.1760
_cell_angle_alpha 77.13
_cell_angle_beta 75.30
_cell_angle_gamma 72.53
loop_
_atom_site_label
_atom_site_fract_x
_atom_site_fract_y
_atom_site_fract_z
_atom_site_occupancy
Y1 0.0000 0.0000 0.0000 1
Zr1 0.9999 0.4995 0.9970 1
Zr2 0.1982 0.3011 0.6008 1
Zr3 0.2001 0.7996 0.6009 1
Zr4 0.3955 0.5988 0.2014 1
Zr5 0.4005 0.0975 0.2006 1
Zr6 0.6002 0.3985 0.8003 1
Zr7 0.6006 0.8981 0.8023 1
Zr8 0.7968 0.7009 0.4004 1
Zr9 0.7992 0.2004 0.3986 1
O1 0.0282 0.6777 0.1624 1
O2 0.0707 0.2190 0.1474 1
O3 0.1247 0.0822 0.4582 1
O4 0.1701 0.6152 0.4464 1
O5 0.2370 0.4801 0.7579 1
O6 0.2772 0.0135 0.7367 1
O7 0.3451 0.8816 0.0612 1
O8 0.3726 0.4152 0.0418 1
O9 0.4189 0.2888 0.3575 1
O10 0.4684 0.8121 0.3477 1
O11 0.5294 0.6839 0.6585 1
O12 0.5749 0.2146 0.6398 1
O13 0.6216 0.0922 0.9532 1
O14 0.6675 0.6127 0.9453 1
O15 0.7222 0.4852 0.2570 1
O16 0.7549 0.0149 0.2539 1
O17 0.8266 0.8842 0.5575 1
O18 0.8736 0.4145 0.5371 1
O19 0.9290 0.3014 0.8483 1
O20 0.9678 0.8015 0.8374 1
```

This entry pairs a crystal structure of NbP4S10Cl5 with its theoretical PXRD pattern. Radiation: λ = 1.5418 Å (Cu Kα). Structure: a DFT-relaxed cell (PBE, the Materials Project).
Peak positions follow from Bragg's law for the DFT cell and can differ from measured ones.

Most intense lines, 10° ≤ 2θ ≤ 80°, sorted by position:
2θ/deg, I (rel.)
10.30, 71
14.56, 68
18.11, 62
18.78, 68
20.09, 59
27.80, 49
28.13, 100
47.28, 49

Atomic structure:
```
data_NbP4S10Cl5
_symmetry_space_group_name_H-M 'P -1'
_symmetry_Int_Tables_number 2
_symmetry_space_group_name_Hall '-P 1'
_cell_length_a 10.3022
_cell_length_b 11.7285
_cell_length_c 12.3265
_cell_angle_alpha 70.67
_cell_angle_beta 67.72
_cell_angle_gamma 67.64
loop_
_atom_site_label
_atom_site_fract_x
_atom_site_fract_y
_atom_site_fract_z
_atom_site_occupancy
Nb1 0.0421 0.1285 0.3439 1
P1 0.0248 0.3241 0.7631 1
P2 0.2994 0.0558 0.8365 1
P3 0.3050 0.3494 0.8367 1
P4 0.3776 0.2713 0.5679 1
S1 0.0735 0.1297 0.8482 1
S2 0.0788 0.4224 0.8488 1
S3 0.1514 0.3452 0.5803 1
S4 0.1803 0.6083 0.2260 1
S5 0.3429 0.8798 0.9148 1
S6 0.3524 0.1551 0.9218 1
S7 0.3516 0.4392 0.9154 1
S8 0.4249 0.0771 0.6535 1
S9 0.4307 0.3700 0.6537 1
S10 0.4906 0.2906 0.4016 1
Cl1 0.0755 0.7940 0.8015 1
Cl2 0.1261 0.7244 0.5419 1
Cl3 0.1323 0.0115 0.5322 1
Cl4 0.1999 0.9518 0.2654 1
Cl5 0.2167 0.2320 0.2688 1
```